# NaHg2
Calculated PXRD pattern, a wavelength of 1.5418 Å. Input: a cell relaxed with PBE.
Lines closer than 0.1° are merged.

Most intense lines, 10 to 80 degrees two-theta, low angle first:
Position (°2θ)  d_spacing  I_rel  (hkl)
19.7  4.506  66  1 0 0
26.6  3.349  50  0 0 1
33.3  2.688  61  1 0 1
34.5  2.602  100  1 1 0
44.1  2.054  80  1 1 1
48.7  1.869  21  2 0 1
61.0  1.518  22  2 1 1
61.8  1.502  19  3 0 0
66.4  1.408  30  1 1 2
68.5  1.370  22  3 0 1
72.7  1.301  12  2 2 0
79.0  1.212  15  2 2 1

Atomic structure:
abc: 5.2031 5.2031 3.3486
angles: 90.00 90.00 120.00
Space group P6/mmm (No. 191)
One atom of each set of equivalent atoms:
Na: 0.0000 0.0000 0.0000
Hg: 0.3333 0.6667 0.5000